(1)
Calculated X-ray diffraction stick pattern
Compound: CeAl6Ga2
Radiation: Cu Ka
Structure: a crystal structure in Alexandria, relaxed with GGA-PBE

Principal peaks in the range 10° ≤ 2θ ≤ 80°, by angle:
- 2θ 28.44, rel. 46
- 2θ 30.67, rel. 51
- 2θ 32.06, rel. 81
- 2θ 35.32, rel. 78
- 2θ 35.96, rel. 100
- 2θ 43.36, rel. 60
- 2θ 43.92, rel. 70
- 2θ 52.20, rel. 25
- 2θ 57.57, rel. 37
- 2θ 63.42, rel. 38

Structure:
Unit cell a=4.1231 b=4.1231 c=9.6797 alpha=90.00 beta=90.00 gamma=90.00
Space group P4/mmm (No. 123)
Inequivalent atoms, fractional coordinates:
Ce 0.0000 0.0000 0.0000 [1 per cell]
Al 0.0000 0.0000 0.5000 [1 per cell]
Al 0.0000 0.5000 0.2942 [4 per cell]
Al 0.5000 0.5000 0.5000 [1 per cell]
Ga 0.5000 0.5000 0.1257 [2 per cell]

=====

(2)
Calculated X-ray diffraction stick pattern
Compound: Tb5Sm2Tl
Radiation: Cu Ka
Structure: a crystal structure in Alexandria, relaxed with GGA-PBE

Principal peaks in the range 10° ≤ 2θ ≤ 80°, by angle:
- 2θ 28.90, rel. 29
- 2θ 31.69, rel. 29
- 2θ 33.03, rel. 100
- 2θ 33.15, rel. 19
- 2θ 43.35, rel. 9
- 2θ 51.25, rel. 15
- 2θ 57.24, rel. 11
- 2θ 57.40, rel. 11
- 2θ 61.41, rel. 17
- 2θ 62.27, rel. 12

Structure:
Unit cell a=11.2930 b=7.1457 c=8.3453 alpha=90.00 beta=132.32 gamma=90.00
Space group Cm (No. 8)
Inequivalent atoms, fractional coordinates:
Tb 0.0000 0.0000 0.0000 [2 per cell]
Tb 0.2365 0.2497 0.5087 [4 per cell]
Tb 0.3170 0.2633 0.1685 [4 per cell]
Sm 0.0739 0.5000 0.6835 [2 per cell]
Sm 0.4635 0.0000 0.9990 [2 per cell]
Tl 0.0572 0.0000 0.6521 [2 per cell]